Record 1
Simulated XRD peak list of RbBaMg6 for λ = 1.5418 Å (Cu Kα), from DFT lattice parameters and positions (GGA-PBE).
Peak positions follow from Bragg's law for the DFT cell and can differ from measured ones.

Atomic structure:
```
data_RbBaMg6
_chemical_formula_sum 'Rb2 Ba2 Mg12'
_symmetry_space_group_name_H-M 'A m m 2'
_symmetry_Int_Tables_number 38
_symmetry_space_group_name_Hall 'A 2 -2'
_cell_length_a 5.2420
_cell_length_b 7.1008
_cell_length_c 14.2580
_cell_angle_alpha 90.00
_cell_angle_beta 90.00
_cell_angle_gamma 90.00
loop_
_atom_site_label
_atom_site_type_symbol
_atom_site_fract_x
_atom_site_fract_y
_atom_site_fract_z
Rb1 Rb 0.0000 0.0000 0.0000
Ba1 Ba 0.0000 0.0000 0.4955
Mg1 Mg 0.0000 0.2434 0.7445
Mg2 Mg 0.5000 0.0000 0.1849
Mg3 Mg 0.5000 0.0000 0.6806
Mg4 Mg 0.5000 0.2430 0.3631
```

Principal peaks in the range 10 to 80 degrees two-theta, in order of rising 2θ:
(hkl), 2θ/deg, I/Imax
0 0 2, 12.42, 38
1 0 0, 16.91, 36
1 0 2, 21.04, 69
0 2 2, 28.08, 51
1 0 4, 30.34, 85
1 2 2, 32.96, 100
2 0 0, 34.21, 32
2 2 2, 44.82, 28

---

Record 2
Simulated XRD peak list of Mo3WSe4S4 for λ = 1.5418 Å (Cu Kα), from DFT lattice parameters and positions (GGA-PBE).
Peak positions follow from Bragg's law for the DFT cell and can differ from measured ones.

Atomic structure:
```
data_Mo3WSe4S4
_chemical_formula_sum 'Mo3 W1 Se4 S4'
_symmetry_space_group_name_H-M 'P 3 m 1'
_symmetry_Int_Tables_number 156
_symmetry_space_group_name_Hall 'P 3 -2"'
_cell_length_a 3.2581
_cell_length_b 3.2581
_cell_length_c 36.4692
_cell_angle_alpha 90.00
_cell_angle_beta 90.00
_cell_angle_gamma 120.00
loop_
_atom_site_label
_atom_site_type_symbol
_atom_site_fract_x
_atom_site_fract_y
_atom_site_fract_z
Mo1 Mo 0.0000 0.0000 0.0000
Mo2 Mo 0.0000 0.0000 0.3758
Mo3 Mo 0.6667 0.3333 0.8121
W1 W 0.6667 0.3333 0.1878
Se1 Se 0.0000 0.0000 0.1410
Se2 Se 0.0000 0.0000 0.2346
Se3 Se 0.6667 0.3333 0.3293
Se4 Se 0.6667 0.3333 0.4223
S1 S 0.0000 0.0000 0.7698
S2 S 0.0000 0.0000 0.8545
S3 S 0.6667 0.3333 0.0423
S4 S 0.6667 0.3333 0.9577
```

Principal peaks in the range 10 to 80 degrees two-theta, in order of rising 2θ:
(hkl), 2θ/deg, I/Imax
0 0 5, 12.13, 100
0 0 6, 14.57, 22
1 0 0, 31.74, 36
1 0 5, 34.07, 14
1 0 8, 37.49, 68
1 0 13, 45.60, 41
1 0 14, 47.50, 15
1 1 0, 56.50, 26

---

Record 3
Simulated XRD peak list of BaTlSn2O6 for λ = 1.5418 Å (Cu Kα), from DFT lattice parameters and positions (GGA-PBE).
Peak positions follow from Bragg's law for the DFT cell and can differ from measured ones.

Atomic structure:
```
data_BaTlSn2O6
_chemical_formula_sum 'Ba4 Tl4 Sn8 O24'
_symmetry_space_group_name_H-M 'I 4/m m m'
_symmetry_Int_Tables_number 139
_symmetry_space_group_name_Hall '-I 4 2'
_cell_length_a 3.8940
_cell_length_b 3.8940
_cell_length_c 47.3597
_cell_angle_alpha 90.00
_cell_angle_beta 90.00
_cell_angle_gamma 90.00
loop_
_atom_site_label
_atom_site_type_symbol
_atom_site_fract_x
_atom_site_fract_y
_atom_site_fract_z
Ba1 Ba 0.0000 0.0000 0.1626
Tl1 Tl 0.0000 0.0000 0.2746
Sn1 Sn 0.0000 0.0000 0.3927
Sn2 Sn 0.0000 0.0000 0.4540
O1 O 0.0000 0.0000 0.2307
O2 O 0.0000 0.0000 0.3171
O3 O 0.0000 0.5000 0.0343
O4 O 0.0000 0.5000 0.1233
```

Principal peaks in the range 10 to 80 degrees two-theta, in order of rising 2θ:
(hkl), 2θ/deg, I/Imax
1 0 1, 22.92, 45
1 0 7, 26.40, 100
1 0 9, 28.52, 82
1 0 11, 30.96, 48
1 1 0, 32.52, 87
2 0 0, 46.65, 49
1 1 18, 47.82, 50
2 1 7, 54.40, 29

---

Record 4
Simulated XRD peak list of Mg2PbO4 for λ = 1.5418 Å (Cu Kα), from DFT lattice parameters and positions (GGA-PBE).
Peak positions follow from Bragg's law for the DFT cell and can differ from measured ones.

Atomic structure:
```
data_Mg2PbO4
_chemical_formula_sum 'Mg4 Pb2 O8'
_symmetry_space_group_name_H-M 'P b a m'
_symmetry_Int_Tables_number 55
_symmetry_space_group_name_Hall '-P 2 2ab'
_cell_length_a 5.3633
_cell_length_b 9.7731
_cell_length_c 3.1865
_cell_angle_alpha 90.00
_cell_angle_beta 90.00
_cell_angle_gamma 90.00
loop_
_atom_site_label
_atom_site_type_symbol
_atom_site_fract_x
_atom_site_fract_y
_atom_site_fract_z
Mg1 Mg 0.0542 0.1828 0.0000
Pb1 Pb 0.0000 0.5000 0.5000
O1 O 0.1739 0.7033 0.5000
O2 O 0.2349 0.9525 0.0000
```

Principal peaks in the range 10 to 80 degrees two-theta, in order of rising 2θ:
(hkl), 2θ/deg, I/Imax
0 2 0, 18.15, 45
1 1 0, 18.87, 100
1 3 0, 32.15, 46
0 2 1, 33.58, 24
1 1 1, 33.99, 76
1 3 1, 43.15, 17
2 2 1, 48.10, 39
0 0 2, 57.94, 28

---

Record 5
Simulated XRD peak list of BaTiO3 for λ = 1.5418 Å (Cu Kα), from DFT lattice parameters and positions (GGA-PBE).
Peak positions follow from Bragg's law for the DFT cell and can differ from measured ones.

Atomic structure:
```
data_BaTiO3
_chemical_formula_sum 'Ba2 Ti2 O6'
_symmetry_space_group_name_H-M 'A m m 2'
_symmetry_Int_Tables_number 38
_symmetry_space_group_name_Hall 'A 2 -2'
_cell_length_a 3.9875
_cell_length_b 5.8056
_cell_length_c 5.8553
_cell_angle_alpha 90.00
_cell_angle_beta 90.00
_cell_angle_gamma 90.00
loop_
_atom_site_label
_atom_site_type_symbol
_atom_site_fract_x
_atom_site_fract_y
_atom_site_fract_z
Ba1 Ba 0.0000 0.0000 0.0000
Ti1 Ti 0.5000 0.0000 0.4830
O1 O 0.0000 0.0000 0.5229
O2 O 0.5000 0.2413 0.2758
```

Principal peaks in the range 10 to 80 degrees two-theta, in order of rising 2θ:
(hkl), 2θ/deg, I/Imax
0 1 1, 21.56, 20
0 0 2, 30.53, 27
0 2 0, 30.80, 26
1 1 1, 31.21, 100
1 0 2, 38.13, 20
0 2 2, 43.92, 35
1 1 3, 54.69, 20
2 2 2, 65.09, 20

---

Record 6
Simulated XRD peak list of Ba2HoTaO6 for λ = 1.5418 Å (Cu Kα), from DFT lattice parameters and positions (GGA-PBE).
Peak positions follow from Bragg's law for the DFT cell and can differ from measured ones.

Atomic structure:
```
data_Ba2HoTaO6
_chemical_formula_sum 'Ba8 Ho4 Ta4 O24'
_symmetry_space_group_name_H-M 'F m -3 m'
_symmetry_Int_Tables_number 225
_symmetry_space_group_name_Hall '-F 4 2 3'
_cell_length_a 8.5193
_cell_length_b 8.5193
_cell_length_c 8.5193
_cell_angle_alpha 90.00
_cell_angle_beta 90.00
_cell_angle_gamma 90.00
loop_
_atom_site_label
_atom_site_type_symbol
_atom_site_fract_x
_atom_site_fract_y
_atom_site_fract_z
Ba1 Ba 0.2500 0.2500 0.2500
Ho1 Ho 0.0000 0.0000 0.0000
Ta1 Ta 0.0000 0.0000 0.5000
O1 O 0.0000 0.0000 0.2635
```

Principal peaks in the range 10 to 80 degrees two-theta, in order of rising 2θ:
(hkl), 2θ/deg, I/Imax
2 0 0, 20.85, 5
2 2 0, 29.66, 100
4 0 0, 42.44, 28
4 2 0, 47.74, 2
4 2 2, 52.63, 41
4 4 0, 61.58, 18
6 2 0, 69.82, 18
4 4 4, 77.65, 6

---

Record 7
Simulated XRD peak list of LaMg for λ = 1.5418 Å (Cu Kα), from DFT lattice parameters and positions (GGA-PBE).
Peak positions follow from Bragg's law for the DFT cell and can differ from measured ones.

Atomic structure:
```
data_LaMg
_chemical_formula_sum 'La6 Mg6'
_symmetry_space_group_name_H-M 'C 1 m 1'
_symmetry_Int_Tables_number 8
_symmetry_space_group_name_Hall 'C -2y'
_cell_length_a 12.9414
_cell_length_b 3.5652
_cell_length_c 8.1217
_cell_angle_alpha 90.00
_cell_angle_beta 106.99
_cell_angle_gamma 90.00
loop_
_atom_site_label
_atom_site_type_symbol
_atom_site_fract_x
_atom_site_fract_y
_atom_site_fract_z
La1 La 0.0000 0.0000 0.0000
La2 La 0.0184 0.0000 0.5736
La3 La 0.1459 0.5000 0.3303
Mg1 Mg 0.2151 0.5000 0.9216
Mg2 Mg 0.3099 0.0000 0.6679
Mg3 Mg 0.3510 0.0000 0.2333
```

Principal peaks in the range 10 to 80 degrees two-theta, in order of rising 2θ:
(hkl), 2θ/deg, I/Imax
2 0 0, 14.31, 84
1 1 0, 26.01, 25
1 1 1, 29.33, 23
2 0 2, 30.54, 39
4 0 -2, 31.26, 58
3 1 0, 33.21, 91
1 1 -2, 33.44, 100
2 0 -4, 44.60, 28

---

Record 8
Simulated XRD peak list of CaTeO4 for λ = 1.5418 Å (Cu Kα), from DFT lattice parameters and positions (GGA-PBE).
Peak positions follow from Bragg's law for the DFT cell and can differ from measured ones.

Atomic structure:
```
data_CaTeO4
_chemical_formula_sum 'Ca8 Te8 O32'
_symmetry_space_group_name_H-M 'P n a 21'
_symmetry_Int_Tables_number 33
_symmetry_space_group_name_Hall 'P 2c -2n'
_cell_length_a 9.0363
_cell_length_b 6.4649
_cell_length_c 14.3480
_cell_angle_alpha 90.00
_cell_angle_beta 90.00
_cell_angle_gamma 90.00
loop_
_atom_site_label
_atom_site_type_symbol
_atom_site_fract_x
_atom_site_fract_y
_atom_site_fract_z
Ca1 Ca 0.0206 0.1525 0.0000
Ca2 Ca 0.1592 0.6567 0.1345
Te1 Te 0.1168 0.3062 0.4538
Te2 Te 0.2056 0.7052 0.6819
O1 O 0.0030 0.5330 0.4248
O2 O 0.0093 0.6388 0.6594
O3 O 0.0681 0.2071 0.5737
O4 O 0.0994 0.0688 0.3853
O5 O 0.1815 0.9736 0.1978
O6 O 0.1889 0.8745 0.9809
O7 O 0.2315 0.9286 0.7599
O8 O 0.2473 0.8203 0.5640
```

Principal peaks in the range 10 to 80 degrees two-theta, in order of rising 2θ:
(hkl), 2θ/deg, I/Imax
0 0 2, 12.34, 41
0 1 1, 15.03, 84
2 0 1, 20.61, 27
0 1 3, 23.13, 29
2 0 2, 23.27, 44
0 0 4, 24.82, 61
2 1 2, 27.11, 100
1 2 2, 31.93, 26

---

Record 9
Simulated XRD peak list of AcH2 for λ = 1.5418 Å (Cu Kα), from DFT lattice parameters and positions (GGA-PBE).
Peak positions follow from Bragg's law for the DFT cell and can differ from measured ones.

Atomic structure:
```
data_AcH2
_chemical_formula_sum 'Ac4 H8'
_symmetry_space_group_name_H-M 'F m -3 m'
_symmetry_Int_Tables_number 225
_symmetry_space_group_name_Hall '-F 4 2 3'
_cell_length_a 5.9017
_cell_length_b 5.9017
_cell_length_c 5.9017
_cell_angle_alpha 90.00
_cell_angle_beta 90.00
_cell_angle_gamma 90.00
loop_
_atom_site_label
_atom_site_type_symbol
_atom_site_fract_x
_atom_site_fract_y
_atom_site_fract_z
Ac1 Ac 0.0000 0.0000 0.0000
H1 H 0.2500 0.2500 0.2500
```

Principal peaks in the range 10 to 80 degrees two-theta, in order of rising 2θ:
(hkl), 2θ/deg, I/Imax
1 1 1, 26.15, 100
2 0 0, 30.29, 50
2 2 0, 43.37, 41
3 1 1, 51.35, 49
2 2 2, 53.81, 14
3 3 1, 69.42, 20
4 2 0, 71.49, 19
4 2 2, 79.57, 14